Diffraction record for Cs3TlCr2I9. The XRD peak list is simulated, not measured: it uses a DFT-relaxed cell (GGA-PBE, Alexandria) and Cu Ka.
No peak broadening, texture or thermal motion is included.

Largest 12 diffraction maxima, most intense first, 2θ = 5–70°:
29.80 deg, intensity 100, (2 0 2)
25.94 deg, intensity 64, (0 2 1)
43.18 deg, intensity 35, (2 2 0)
42.11 deg, intensity 30, (0 2 4)
25.10 deg, intensity 19, (0 0 3)
53.34 deg, intensity 18, (0 4 2)
14.77 deg, intensity 16, (1 0 1)
50.59 deg, intensity 15, (2 2 3)
20.69 deg, intensity 11, (0 1 2)
51.06 deg, intensity 10, (4 0 1)
69.41 deg, intensity 9, (2 2 6)
33.71 deg, intensity 9, (0 0 4)

Structural model:
a b c (Å): 8.3812 8.3812 10.6448
angles (deg): 90.00 90.00 120.00
Space group P-3m1 (No. 164)
Symmetry-distinct sites (fractional):
Cs (0.0000, 0.0000, 0.0000) [1 per cell]
Cs (0.3333, 0.6667, 0.6790) [2 per cell]
Tl (0.0000, 0.0000, 0.5000) [1 per cell]
Cr (0.3333, 0.6667, 0.1559) [2 per cell]
I (0.0000, 0.5000, 0.0000) [3 per cell]
I (0.1773, 0.3546, 0.3034) [6 per cell]